Starting from a GGA-PBE-relaxed structure, the PXRD pattern of La5NdPb5 was simulated for Cu Kα (weighted mean of Kα1 and Kα2).
No peak broadening, texture or thermal motion is included.

Top 8 peaks for 2θ = 10–90°, in order of rising 2θ:
Position (°2θ)	I_rel
27.18	522
27.27	1000
37.70	213
38.88	790
47.10	228
49.16	204
63.43	191
63.57	188

Structure:
```
data_La5NdPb5
_symmetry_space_group_name_H-M 'P 1'
_symmetry_Int_Tables_number 1
_cell_length_a 8.1887
_cell_length_b 8.1887
_cell_length_c 8.9829
_cell_angle_alpha 105.94
_cell_angle_beta 105.94
_cell_angle_gamma 47.24
loop_
_symmetry_equiv_pos_as_xyz
'x,y,z'
loop_
_atom_site_label
_atom_site_fract_x
_atom_site_fract_y
_atom_site_fract_z
La1 0.0000 0.0000 0.0000
La2 0.3311 0.3311 0.1668
La3 0.3313 0.3313 0.6649
La4 0.6687 0.6687 0.3351
La5 0.6689 0.6689 0.8332
Nd1 0.0000 0.0000 0.5000
Pb1 0.1626 0.1626 0.3306
Pb2 0.1634 0.1634 0.8330
Pb3 0.5000 0.5000 0.5000
Pb4 0.8366 0.8366 0.1670
Pb5 0.8374 0.8374 0.6694
```

Starting from a GGA-PBE-relaxed structure, the PXRD pattern of La8Nd5Pb was simulated for Cu Kα (weighted mean of Kα1 and Kα2).
No peak broadening, texture or thermal motion is included.

Top 8 peaks for 2θ = 10–90°, in order of rising 2θ:
Position (°2θ)	I_rel
30.17	1000
30.32	502
30.43	387
30.56	311
30.69	559
31.32	360
32.05	383
32.19	596

Structure:
```
data_La8Nd5Pb
_symmetry_space_group_name_H-M 'P 1'
_symmetry_Int_Tables_number 1
_cell_length_a 9.0841
_cell_length_b 9.0841
_cell_length_c 8.7823
_cell_angle_alpha 118.47
_cell_angle_beta 118.47
_cell_angle_gamma 55.98
loop_
_symmetry_equiv_pos_as_xyz
'x,y,z'
loop_
_atom_site_label
_atom_site_fract_x
_atom_site_fract_y
_atom_site_fract_z
La1 0.0727 0.5638 0.0739
La2 0.1198 0.1198 0.2017
La3 0.3778 0.2251 0.7258
La4 0.4362 0.9273 0.9261
La5 0.5807 0.0846 0.4154
La6 0.7749 0.6222 0.2742
La7 0.8802 0.8802 0.7983
La8 0.9154 0.4193 0.5846
Nd1 0.0189 0.9811 0.5000
Nd2 0.2542 0.5461 0.5303
Nd3 0.4539 0.7458 0.4697
Nd4 0.6244 0.2764 0.1811
Nd5 0.7236 0.3756 0.8189
Pb1 0.3468 0.6532 0.0000
```

Starting from a GGA-PBE-relaxed structure, the PXRD pattern of LaPmNdPb was simulated for Cu Kα (weighted mean of Kα1 and Kα2).
No peak broadening, texture or thermal motion is included.

Top 8 peaks for 2θ = 10–90°, in order of rising 2θ:
Position (°2θ)	I_rel
30.82	1000
34.56	185
36.30	324
51.00	247
59.61	155
61.93	276
64.20	124
83.25	123

Structure:
```
data_LaPmNdPb
_symmetry_space_group_name_H-M 'P 1'
_symmetry_Int_Tables_number 1
_cell_length_a 6.2598
_cell_length_b 6.2598
_cell_length_c 6.2598
_cell_angle_alpha 133.43
_cell_angle_beta 133.43
_cell_angle_gamma 67.98
loop_
_symmetry_equiv_pos_as_xyz
'x,y,z'
loop_
_atom_site_label
_atom_site_fract_x
_atom_site_fract_y
_atom_site_fract_z
La1 0.0000 0.0000 0.0000
Pm1 0.2500 0.7500 0.5000
Nd1 0.7500 0.2500 0.5000
Pb1 0.5000 0.5000 0.0000
```

Starting from a GGA-PBE-relaxed structure, the PXRD pattern of LaNd3Pd was simulated for Cu Kα (weighted mean of Kα1 and Kα2).
No peak broadening, texture or thermal motion is included.

Top 8 peaks for 2θ = 10–90°, in order of rising 2θ:
Position (°2θ)	I_rel
29.23	473
29.89	1000
30.07	945
32.07	397
32.70	827
33.76	629
34.54	397
46.67	371

Structure:
```
data_LaNd3Pd
_symmetry_space_group_name_H-M 'P 1'
_symmetry_Int_Tables_number 1
_cell_length_a 6.5256
_cell_length_b 6.5256
_cell_length_c 14.0007
_cell_angle_alpha 110.87
_cell_angle_beta 110.87
_cell_angle_gamma 34.71
loop_
_symmetry_equiv_pos_as_xyz
'x,y,z'
loop_
_atom_site_label
_atom_site_fract_x
_atom_site_fract_y
_atom_site_fract_z
La1 0.0000 0.0000 0.0000
La2 0.1220 0.1220 0.3005
Nd1 0.1080 0.1080 0.6187
Nd2 0.2339 0.2339 0.9111
Nd3 0.4308 0.4308 0.3878
Nd4 0.4625 0.4625 0.7640
Nd5 0.7740 0.7740 0.1518
Nd6 0.7997 0.7997 0.5321
Pd1 0.4688 0.4688 0.1490
Pd2 0.7656 0.7656 0.7636
```